[1]
Theoretical X-ray powder pattern
Compound: Na4VO4
Radiation: Cu Kα (weighted mean of Kα1 and Kα2)
Structure: a DFT-relaxed cell (PBE+U, Alexandria)
Lines closer than 0.1° are merged.

Atomic structure:
a = 5.802 Å, b = 5.822 Å, c = 8.701 Å
α = 85.59°, β = 70.84°, γ = 68.68°
Space group P-1 (No. 2)
One atom of each set of equivalent atoms:
Na  0.044  0.234  0.434 [2 per cell]
Na  0.207  0.767  0.182 [2 per cell]
Na  0.229  0.256  0.013 [2 per cell]
Na  0.454  0.260  0.601 [2 per cell]
V  0.401  0.782  0.758 [2 per cell]
O  0.196  0.978  0.640 [2 per cell]
O  0.216  0.647  0.926 [2 per cell]
O  0.323  0.474  0.374 [2 per cell]
O  0.438  0.024  0.199 [2 per cell]

Main lines, in order of rising 2θ (2θ from 10° to 90°):
hkl, 2theta, intensity
1 0 0, 17.3, 55
1 0 2, 23.0, 35
2 0 1, 33.1, 100
1 1 3, 33.6, 57
2 2 1, 37.5, 89
1 -1 3, 38.1, 95
-1 1 2, 39.6, 91
3 1 4, 55.2, 35
2 -2 1, 56.1, 38
1 3 3, 56.3, 35


[2]
Theoretical X-ray powder pattern
Compound: NaV3O8
Radiation: Cu Kα (weighted mean of Kα1 and Kα2)
Structure: a DFT-relaxed cell (PBE+U, Alexandria)
Lines closer than 0.1° are merged.

Atomic structure:
a = 5.204 Å, b = 8.882 Å, c = 7.768 Å
α = 90.00°, β = 109.39°, γ = 90.00°
Space group P2_1/m (No. 11)
One atom of each set of equivalent atoms:
Na  0.025  0.250  0.054 [2 per cell]
V  0.193  0.061  0.691 [4 per cell]
V  0.378  0.750  0.450 [2 per cell]
O  0.114  0.250  0.772 [2 per cell]
O  0.160  0.594  0.501 [4 per cell]
O  0.191  0.547  0.860 [4 per cell]
O  0.355  0.250  0.366 [2 per cell]
O  0.469  0.609  0.294 [4 per cell]

Main lines, in order of rising 2θ (2θ from 10° to 90°):
hkl, 2theta, intensity
0 0 1, 12.1, 100
0 1 1, 15.7, 46
1 0 1, 25.0, 43
0 1 2, 26.3, 17
1 1 -2, 27.0, 23
1 2 -1, 27.1, 96
0 2 2, 31.7, 18
1 3 -3, 47.0, 14
2 3 -3, 53.2, 15
0 3 4, 59.3, 14